No. 1
Calculated powder X-ray diffraction pattern of Pm2NiGe3 for Cu Kα X-rays, from the PBE geometry in Alexandria.
No peak broadening, texture or thermal motion is included.

Structure:
Unit cell a=4.173 b=4.234 c=7.166 alpha=90.00 beta=90.00 gamma=90.00
Space group Pmm2 (No. 25)
Unique sites:
1 Pm 0.000 0.000 0.000 (multiplicity 1)
2 Pm 0.000 0.500 0.498 (multiplicity 1)
3 Ni 0.500 0.000 0.317 (multiplicity 1)
4 Ge 0.500 0.000 0.640 (multiplicity 1)
5 Ge 0.500 0.500 0.185 (multiplicity 1)
6 Ge 0.500 0.500 0.834 (multiplicity 1)

Largest 6 diffraction maxima, in order of falling intensity, 2θ from 10° to 90°:
d [Å]	2theta	intensity	index
2.745	32.62	100	1 1 1
2.718	32.95	49	1 0 2
2.080	43.50	38	0 1 3
1.473	63.11	25	2 1 3
1.670	54.97	23	1 2 2
2.117	42.71	21	0 2 0

***

No. 2
Calculated powder X-ray diffraction pattern of Pm2Ni3Ge2 for Cu Kα X-rays, from the PBE geometry in Alexandria.
No peak broadening, texture or thermal motion is included.

Structure:
Unit cell a=10.525 b=3.898 c=6.742 alpha=90.00 beta=115.67 gamma=90.00
Space group C2/m (No. 12)
Unique sites:
1 Pm 0.134 0.000 0.260 (multiplicity 4)
2 Ni 0.000 0.500 0.500 (multiplicity 2)
3 Ni 0.125 0.500 0.927 (multiplicity 4)
4 Ge 0.148 0.000 0.732 (multiplicity 4)

Largest 6 diffraction maxima, in order of falling intensity, 2θ from 10° to 90°:
d [Å]	2theta	intensity	index
2.455	36.60	100	4 0 -2
2.331	38.62	80	3 1 -2
2.155	41.92	78	1 1 2
2.601	34.48	68	3 1 -1
2.538	35.36	60	1 1 -2
2.371	37.94	52	4 0 0